[1]
Simulated powder diffractogram
Compound: LiSbP2O7
Radiation: λ = 1.5418 Å (Cu Kα)
Structure: DFT lattice parameters and positions (GGA-PBE)

a = 7.443 Å, b = 10.800 Å, c = 8.587 Å
α = 90.00°, β = 114.45°, γ = 90.00°
Space group P2_1/c (No. 14)
Inequivalent atoms, fractional coordinates:
Li 0.116 0.156 0.077 [4 per cell]
Sb 0.230 0.607 0.231 [4 per cell]
P 0.134 0.591 0.789 [4 per cell]
P 0.473 0.649 0.716 [4 per cell]
O 0.036 0.697 0.662 [4 per cell]
O 0.060 0.037 0.211 [4 per cell]
O 0.108 0.609 0.955 [4 per cell]
O 0.328 0.080 0.718 [4 per cell]
O 0.336 0.620 0.531 [4 per cell]
O 0.369 0.597 0.838 [4 per cell]
O 0.490 0.211 0.242 [4 per cell]

Top 6 peaks for 15° ≤ 2θ ≤ 90°, sorted by position:
2θ (°)	intensity	hkl
15.4	100	1 1 0
15.6	42	1 1 -1
22.8	73	0 0 2
28.1	45	1 3 0
29.1	48	2 2 -1
37.6	34	3 1 -1

---

[2]
Simulated powder diffractogram
Compound: Zr3Au
Radiation: λ = 1.5418 Å (Cu Kα)
Structure: DFT lattice parameters and positions (GGA-PBE)

a = 5.538 Å, b = 5.538 Å, c = 5.538 Å
α = 90.00°, β = 90.00°, γ = 90.00°
Space group Pm-3n (No. 223)
Inequivalent atoms, fractional coordinates:
Zr 0.000 0.250 0.500 [6 per cell]
Au 0.000 0.000 0.000 [2 per cell]

Top 6 peaks for 15° ≤ 2θ ≤ 90°, sorted by position:
2θ (°)	intensity	hkl
22.7	26	1 1 0
32.3	44	2 0 0
36.3	53	2 1 0
39.9	100	2 1 1
62.8	53	3 2 1
77.0	15	4 2 0